Computed PXRD pattern of Al2HgSe3S for Cu Kα X-rays, from DFT lattice parameters and positions (GGA-PBE).
No peak broadening, texture or thermal motion is included.

Main lines, in order of falling intensity (2θ from 15° to 90°):
2theta	I/Imax
27.4	100
17.3	86
27.0	55
27.5	52
45.8	47
21.8	41

Cell and atoms:
```
data_Al2HgSe3S
_cell_length_a 5.7936
_cell_length_b 5.8319
_cell_length_c 6.7312
_cell_angle_alpha 115.63
_cell_angle_beta 114.38
_cell_angle_gamma 90.80
_symmetry_space_group_name_H-M 'P 1'
_symmetry_Int_Tables_number 1
loop_
_symmetry_equiv_pos_as_xyz
'x,y,z'
loop_
_atom_site_label
_atom_site_type_symbol
_atom_site_fract_x
_atom_site_fract_y
_atom_site_fract_z
Al1 Al 0.0000 0.0000 0.0000
Al2 Al 0.2415 0.7566 0.5114
Hg1 Hg 0.7454 0.2592 0.5039
Se1 Se 0.3415 0.3947 0.2279
Se2 Se 0.6146 0.1278 0.7888
Se3 Se 0.8742 0.8406 0.2276
S1 S 0.1396 0.6729 0.7704
```

---

Computed PXRD pattern of TbHoFe2B2N2 for Cu Kα X-rays, from DFT lattice parameters and positions (GGA-PBE).
No peak broadening, texture or thermal motion is included.

Main lines, in order of falling intensity (2θ from 15° to 90°):
2theta	I/Imax
34.9	100
28.4	80
38.7	52
65.2	46
61.3	35
44.0	35

Cell and atoms:
```
data_TbHoFe2B2N2
_cell_length_a 3.4467
_cell_length_b 3.4467
_cell_length_c 7.7091
_cell_angle_alpha 90.00
_cell_angle_beta 90.00
_cell_angle_gamma 90.00
_symmetry_space_group_name_H-M 'P 1'
_symmetry_Int_Tables_number 1
loop_
_symmetry_equiv_pos_as_xyz
'x,y,z'
loop_
_atom_site_label
_atom_site_type_symbol
_atom_site_fract_x
_atom_site_fract_y
_atom_site_fract_z
Tb1 Tb 0.0000 0.0000 0.0000
Ho1 Ho 0.5000 0.5000 0.3306
Fe1 Fe 0.0000 0.5000 0.6654
Fe2 Fe 0.5000 0.0000 0.6654
B1 B 0.0000 0.0000 0.5008
B2 B 0.5000 0.5000 0.8312
N1 N 0.0000 0.0000 0.3077
N2 N 0.5000 0.5000 0.0248
```

---

Computed PXRD pattern of KHg3OsSe4 for Cu Kα X-rays, from DFT lattice parameters and positions (GGA-PBE).
No peak broadening, texture or thermal motion is included.

Main lines, in order of falling intensity (2θ from 15° to 90°):
2theta	I/Imax
33.7	100
20.4	60
23.6	54
54.5	44
39.7	39
35.8	36

Cell and atoms:
```
data_KHg3OsSe4
_cell_length_a 7.5289
_cell_length_b 7.5289
_cell_length_c 7.5289
_cell_angle_alpha 90.00
_cell_angle_beta 90.00
_cell_angle_gamma 90.00
_symmetry_space_group_name_H-M 'P 1'
_symmetry_Int_Tables_number 1
loop_
_symmetry_equiv_pos_as_xyz
'x,y,z'
loop_
_atom_site_label
_atom_site_type_symbol
_atom_site_fract_x
_atom_site_fract_y
_atom_site_fract_z
K1 K 0.0000 0.0000 0.0000
Hg1 Hg 0.0000 0.5000 0.5000
Hg2 Hg 0.5000 0.0000 0.5000
Hg3 Hg 0.5000 0.5000 0.0000
Os1 Os 0.5000 0.5000 0.5000
Se1 Se 0.3230 0.3230 0.3230
Se2 Se 0.3230 0.6770 0.6770
Se3 Se 0.6770 0.3230 0.6770
Se4 Se 0.6770 0.6770 0.3230
```

---

Computed PXRD pattern of SmGdC2I2 for Cu Kα X-rays, from DFT lattice parameters and positions (GGA-PBE).
No peak broadening, texture or thermal motion is included.

Main lines, in order of falling intensity (2θ from 15° to 90°):
2theta	I/Imax
30.3	100
28.0	75
25.5	49
43.1	43
29.6	39
40.3	30

Cell and atoms:
```
data_SmGdC2I2
_cell_length_a 4.2108
_cell_length_b 4.2108
_cell_length_c 11.4196
_cell_angle_alpha 92.84
_cell_angle_beta 92.84
_cell_angle_gamma 56.22
_symmetry_space_group_name_H-M 'P 1'
_symmetry_Int_Tables_number 1
loop_
_symmetry_equiv_pos_as_xyz
'x,y,z'
loop_
_atom_site_label
_atom_site_type_symbol
_atom_site_fract_x
_atom_site_fract_y
_atom_site_fract_z
Sm1 Sm 0.0000 0.0000 0.0000
Gd1 Gd 0.7094 0.7094 0.7532
C1 C 0.2787 0.2787 0.9009
C2 C 0.4317 0.4317 0.8466
I1 I 0.0315 0.0315 0.5682
I2 I 0.6797 0.6797 0.1882
```

---

Computed PXRD pattern of Al8Re7 for Cu Kα X-rays, from DFT lattice parameters and positions (GGA-PBE).
No peak broadening, texture or thermal motion is included.

Main lines, in order of falling intensity (2θ from 15° to 90°):
2theta	I/Imax
41.1	100
39.9	100
43.7	28
21.3	26
69.1	20
27.1	19

Cell and atoms:
```
data_Al8Re7
_cell_length_a 9.3131
_cell_length_b 9.3131
_cell_length_c 5.1673
_cell_angle_alpha 90.00
_cell_angle_beta 90.00
_cell_angle_gamma 90.00
_symmetry_space_group_name_H-M 'P 1'
_symmetry_Int_Tables_number 1
loop_
_symmetry_equiv_pos_as_xyz
'x,y,z'
loop_
_atom_site_label
_atom_site_type_symbol
_atom_site_fract_x
_atom_site_fract_y
_atom_site_fract_z
Al1 Al 0.0423 0.3607 0.0000
Al2 Al 0.0693 0.2631 0.5000
Al3 Al 0.1393 0.5423 0.5000
Al4 Al 0.2369 0.5693 0.0000
Al5 Al 0.2631 0.0693 0.5000
Al6 Al 0.3607 0.0423 0.0000
Al7 Al 0.4307 0.7631 0.0000
Al8 Al 0.4577 0.8607 0.5000
Al9 Al 0.5423 0.1393 0.5000
Al10 Al 0.5693 0.2369 0.0000
Al11 Al 0.6393 0.9577 0.0000
Al12 Al 0.7369 0.9307 0.5000
Al13 Al 0.7631 0.4307 0.0000
Al14 Al 0.8607 0.4577 0.5000
Al15 Al 0.9307 0.7369 0.5000
Al16 Al 0.9577 0.6393 0.0000
Re1 Re 0.0000 0.0000 0.5000
Re2 Re 0.0946 0.0946 0.0000
Re3 Re 0.1798 0.8202 0.2506
Re4 Re 0.1798 0.8202 0.7494
Re5 Re 0.3202 0.3202 0.2494
Re6 Re 0.3202 0.3202 0.7506
Re7 Re 0.4054 0.5946 0.5000
Re8 Re 0.5000 0.5000 0.0000
Re9 Re 0.5946 0.4054 0.5000
Re10 Re 0.6798 0.6798 0.2494
Re11 Re 0.6798 0.6798 0.7506
Re12 Re 0.8202 0.1798 0.2506
Re13 Re 0.8202 0.1798 0.7494
Re14 Re 0.9054 0.9054 0.0000
```

---

Computed PXRD pattern of Ga2Si3Hg2 for Cu Kα X-rays, from DFT lattice parameters and positions (GGA-PBE).
No peak broadening, texture or thermal motion is included.

Main lines, in order of falling intensity (2θ from 15° to 90°):
2theta	I/Imax
26.9	100
41.7	67
24.5	60
42.5	52
32.5	38
34.8	25

Cell and atoms:
```
data_Ga2Si3Hg2
_cell_length_a 9.7809
_cell_length_b 9.7809
_cell_length_c 9.7809
_cell_angle_alpha 25.60
_cell_angle_beta 25.60
_cell_angle_gamma 25.60
_symmetry_space_group_name_H-M 'P 1'
_symmetry_Int_Tables_number 1
loop_
_symmetry_equiv_pos_as_xyz
'x,y,z'
loop_
_atom_site_label
_atom_site_type_symbol
_atom_site_fract_x
_atom_site_fract_y
_atom_site_fract_z
Ga1 Ga 0.0000 0.0000 0.0000
Ga2 Ga 0.4671 0.4671 0.4671
Si1 Si 0.1868 0.1868 0.1868
Si2 Si 0.3686 0.3686 0.3686
Si3 Si 0.8388 0.8388 0.8388
Hg1 Hg 0.2748 0.2748 0.2748
Hg2 Hg 0.7410 0.7410 0.7410
```

---

Computed PXRD pattern of TbDyCu2P4 for Cu Kα X-rays, from DFT lattice parameters and positions (GGA-PBE).
No peak broadening, texture or thermal motion is included.

Main lines, in order of falling intensity (2θ from 15° to 90°):
2theta	I/Imax
38.9	100
25.6	73
36.7	41
48.9	30
84.7	21
37.0	20

Cell and atoms:
```
data_TbDyCu2P4
_cell_length_a 3.7246
_cell_length_b 3.7246
_cell_length_c 9.7290
_cell_angle_alpha 90.00
_cell_angle_beta 90.00
_cell_angle_gamma 90.00
_symmetry_space_group_name_H-M 'P 1'
_symmetry_Int_Tables_number 1
loop_
_symmetry_equiv_pos_as_xyz
'x,y,z'
loop_
_atom_site_label
_atom_site_type_symbol
_atom_site_fract_x
_atom_site_fract_y
_atom_site_fract_z
Tb1 Tb 0.0000 0.0000 0.0000
Dy1 Dy 0.5000 0.5000 0.5360
Cu1 Cu 0.0000 0.5000 0.2683
Cu2 Cu 0.5000 0.0000 0.2683
P1 P 0.0000 0.0000 0.4231
P2 P 0.0000 0.5000 0.7673
P3 P 0.5000 0.0000 0.7673
P4 P 0.5000 0.5000 0.1138
```

---

Computed PXRD pattern of Ni2AuI4 for Cu Kα X-rays, from DFT lattice parameters and positions (GGA-PBE).
No peak broadening, texture or thermal motion is included.

Main lines, in order of falling intensity (2θ from 15° to 90°):
2theta	I/Imax
32.1	100
45.5	73
31.3	52
56.1	19
45.3	19
26.2	18

Cell and atoms:
```
data_Ni2AuI4
_cell_length_a 6.9085
_cell_length_b 6.9085
_cell_length_c 4.0028
_cell_angle_alpha 90.00
_cell_angle_beta 90.00
_cell_angle_gamma 111.52
_symmetry_space_group_name_H-M 'P 1'
_symmetry_Int_Tables_number 1
loop_
_symmetry_equiv_pos_as_xyz
'x,y,z'
loop_
_atom_site_label
_atom_site_type_symbol
_atom_site_fract_x
_atom_site_fract_y
_atom_site_fract_z
Ni1 Ni 0.0000 0.5000 0.0000
Ni2 Ni 0.5000 0.0000 0.0000
Au1 Au 0.0000 0.0000 0.5000
I1 I 0.2600 0.2600 0.0000
I2 I 0.2626 0.7374 0.5000
I3 I 0.7374 0.2626 0.5000
I4 I 0.7400 0.7400 0.0000
```

---

Computed PXRD pattern of Lu4ZnSN2 for Cu Kα X-rays, from DFT lattice parameters and positions (GGA-PBE).
No peak broadening, texture or thermal motion is included.

Main lines, in order of falling intensity (2θ from 15° to 90°):
2theta	I/Imax
36.2	100
29.8	27
52.9	27
30.6	24
65.8	17
89.2	16

Cell and atoms:
```
data_Lu4ZnSN2
_cell_length_a 3.4617
_cell_length_b 3.4617
_cell_length_c 13.2564
_cell_angle_alpha 90.00
_cell_angle_beta 90.00
_cell_angle_gamma 120.00
_symmetry_space_group_name_H-M 'P 1'
_symmetry_Int_Tables_number 1
loop_
_symmetry_equiv_pos_as_xyz
'x,y,z'
loop_
_atom_site_label
_atom_site_type_symbol
_atom_site_fract_x
_atom_site_fract_y
_atom_site_fract_z
Lu1 Lu 0.0000 0.0000 0.1390
Lu2 Lu 0.0000 0.0000 0.8610
Lu3 Lu 0.3333 0.6667 0.3345
Lu4 Lu 0.3333 0.6667 0.6655
Zn1 Zn 0.0000 0.0000 0.5000
S1 S 0.3333 0.6667 0.0000
N1 N 0.6667 0.3333 0.2288
N2 N 0.6667 0.3333 0.7712
```

---

Computed PXRD pattern of Ag15Hg for Cu Kα X-rays, from DFT lattice parameters and positions (GGA-PBE).
No peak broadening, texture or thermal motion is included.

Main lines, in order of falling intensity (2θ from 15° to 90°):
2theta	I/Imax
38.0	100
36.9	86
42.9	55
44.7	34
63.7	33
39.2	29

Cell and atoms:
```
data_Ag15Hg
_cell_length_a 4.9956
_cell_length_b 33.4856
_cell_length_c 4.9989
_cell_angle_alpha 90.00
_cell_angle_beta 108.58
_cell_angle_gamma 90.00
_symmetry_space_group_name_H-M 'P 1'
_symmetry_Int_Tables_number 1
loop_
_symmetry_equiv_pos_as_xyz
'x,y,z'
loop_
_atom_site_label
_atom_site_type_symbol
_atom_site_fract_x
_atom_site_fract_y
_atom_site_fract_z
Ag1 Ag 0.0000 0.0221 0.2500
Ag2 Ag 0.0000 0.0661 0.7500
Ag3 Ag 0.0000 0.1103 0.2500
Ag4 Ag 0.0000 0.1539 0.7500
Ag5 Ag 0.0000 0.1988 0.2500
Ag6 Ag 0.0000 0.2417 0.7500
Ag7 Ag 0.0000 0.2883 0.2500
Ag8 Ag 0.0000 0.7117 0.7500
Ag9 Ag 0.0000 0.7583 0.2500
Ag10 Ag 0.0000 0.8012 0.7500
Ag11 Ag 0.0000 0.8461 0.2500
Ag12 Ag 0.0000 0.8897 0.7500
Ag13 Ag 0.0000 0.9339 0.2500
Ag14 Ag 0.0000 0.9779 0.7500
Ag15 Ag 0.5000 0.0222 0.7500
Ag16 Ag 0.5000 0.0660 0.2500
Ag17 Ag 0.5000 0.1104 0.7500
Ag18 Ag 0.5000 0.1545 0.2500
Ag19 Ag 0.5000 0.1989 0.7500
Ag20 Ag 0.5000 0.2432 0.2500
Ag21 Ag 0.5000 0.2883 0.7500
Ag22 Ag 0.5000 0.3310 0.2500
Ag23 Ag 0.5000 0.6690 0.7500
Ag24 Ag 0.5000 0.7117 0.2500
Ag25 Ag 0.5000 0.7568 0.7500
Ag26 Ag 0.5000 0.8011 0.2500
Ag27 Ag 0.5000 0.8455 0.7500
Ag28 Ag 0.5000 0.8896 0.2500
Ag29 Ag 0.5000 0.9340 0.7500
Ag30 Ag 0.5000 0.9778 0.2500
Hg1 Hg 0.0000 0.3377 0.7500
Hg2 Hg 0.0000 0.6623 0.2500
```

---

Computed PXRD pattern of ErSi2O4 for Cu Kα X-rays, from DFT lattice parameters and positions (GGA-PBE).
No peak broadening, texture or thermal motion is included.

Main lines, in order of falling intensity (2θ from 15° to 90°):
2theta	I/Imax
28.2	100
33.2	95
17.2	45
50.0	40
53.3	38
58.4	34

Cell and atoms:
```
data_ErSi2O4
_cell_length_a 6.3203
_cell_length_b 6.3203
_cell_length_c 6.3203
_cell_angle_alpha 60.00
_cell_angle_beta 60.00
_cell_angle_gamma 60.00
_symmetry_space_group_name_H-M 'P 1'
_symmetry_Int_Tables_number 1
loop_
_symmetry_equiv_pos_as_xyz
'x,y,z'
loop_
_atom_site_label
_atom_site_type_symbol
_atom_site_fract_x
_atom_site_fract_y
_atom_site_fract_z
Er1 Er 0.1250 0.1250 0.1250
Er2 Er 0.8750 0.8750 0.8750
Si1 Si 0.0000 0.5000 0.5000
Si2 Si 0.5000 0.0000 0.5000
Si3 Si 0.5000 0.5000 0.0000
Si4 Si 0.5000 0.5000 0.5000
O1 O 0.2639 0.2639 0.2639
O2 O 0.2639 0.2639 0.7083
O3 O 0.2639 0.7083 0.2639
O4 O 0.2917 0.7361 0.7361
O5 O 0.7083 0.2639 0.2639
O6 O 0.7361 0.2917 0.7361
O7 O 0.7361 0.7361 0.2917
O8 O 0.7361 0.7361 0.7361
```

---

Computed PXRD pattern of GdDyZn3Ni2 for Cu Kα X-rays, from DFT lattice parameters and positions (GGA-PBE).
No peak broadening, texture or thermal motion is included.

Main lines, in order of falling intensity (2θ from 15° to 90°):
2theta	I/Imax
34.5	100
37.9	64
41.0	55
37.1	46
62.5	29
47.7	27

Cell and atoms:
```
data_GdDyZn3Ni2
_cell_length_a 3.6121
_cell_length_b 9.6326
_cell_length_c 9.6326
_cell_angle_alpha 22.84
_cell_angle_beta 90.00
_cell_angle_gamma 90.00
_symmetry_space_group_name_H-M 'P 1'
_symmetry_Int_Tables_number 1
loop_
_symmetry_equiv_pos_as_xyz
'x,y,z'
loop_
_atom_site_label
_atom_site_type_symbol
_atom_site_fract_x
_atom_site_fract_y
_atom_site_fract_z
Gd1 Gd 0.0000 0.0000 0.0000
Dy1 Dy 0.0000 0.6717 0.6717
Zn1 Zn 0.0000 0.8354 0.8354
Zn2 Zn 0.5000 0.2655 0.2655
Zn3 Zn 0.5000 0.4053 0.4053
Ni1 Ni 0.5000 0.1283 0.1283
Ni2 Ni 0.5000 0.5455 0.5455
```